Structure and computed X-ray powder pattern of Te8Rh3 (a cell relaxed with GGA-PBE; Cu Kα (weighted mean of Kα1 and Kα2)).
Lines closer than 0.1° are merged.

The 12 most intense peaks (2θ = 10–90°), in order of falling intensity:
| (hkl) | 2θ (°) | I (rel.) |
| --- | --- | --- |
| 3 -1 1 | 30.4 | 100 |
| 3 -2 2 | 33.6 | 62 |
| 1 1 3 | 30.9 | 61 |
| 4 -2 3 | 46.1 | 45 |
| 1 0 4 | 34.1 | 40 |
| 3 2 1 | 50.0 | 25 |
| 4 -3 4 | 52.6 | 24 |
| 4 0 1 | 45.8 | 23 |
| 3 0 0 | 33.4 | 20 |
| 2 0 5 | 46.7 | 20 |
| 2 3 2 | 52.2 | 18 |
| 2 0 2 | 27.3 | 17 |

abc: 9.3015 9.3015 11.1159
angles: 90.00 90.00 120.00
Space group R-3 (No. 148, hexagonal axes)
Inequivalent atoms, fractional coordinates:
Te: 0.0000 0.0000 0.1309 [6 per cell]
Te: 0.0009 0.7487 0.6224 [18 per cell]
Rh: 0.0000 0.5000 0.5000 [9 per cell]



Structure and computed X-ray powder pattern of PrTl2InTe4 (a cell relaxed with GGA-PBE; Cu Kα (weighted mean of Kα1 and Kα2)).
Lines closer than 0.1° are merged.

The 12 most intense peaks (2θ = 10–90°), in order of falling intensity:
| (hkl) | 2θ (°) | I (rel.) |
| --- | --- | --- |
| 2 0 2 | 31.2 | 100 |
| 2 2 0 | 29.6 | 48 |
| 2 1 1 | 26.0 | 34 |
| 4 2 2 | 53.6 | 20 |
| 4 0 0 | 42.3 | 17 |
| 4 1 1 | 45.4 | 15 |
| 4 2 0 | 47.7 | 15 |
| 2 2 4 | 56.6 | 14 |
| 6 2 2 | 74.5 | 13 |
| 4 0 2 | 48.8 | 12 |
| 2 0 0 | 20.8 | 12 |
| 4 2 4 | 69.2 | 11 |

abc: 8.534 8.534 7.729
angles: 90.00 90.00 90.00
Space group I-42m (No. 121)
Inequivalent atoms, fractional coordinates:
Pr: 0.000 0.000 0.000 [2 per cell]
Tl: 0.000 0.500 0.000 [4 per cell]
In: 0.000 0.000 0.500 [2 per cell]
Te: 0.188 0.188 0.723 [8 per cell]



Structure and computed X-ray powder pattern of Rb3SmF6 (a cell relaxed with GGA-PBE; Cu Kα (weighted mean of Kα1 and Kα2)).
Lines closer than 0.1° are merged.

The 12 most intense peaks (2θ = 10–90°), in order of falling intensity:
| (hkl) | 2θ (°) | I (rel.) |
| --- | --- | --- |
| 2 0 0 | 24.1 | 100 |
| 1 1 2 | 25.1 | 99 |
| 3 1 2 | 43.0 | 61 |
| 2 0 4 | 44.8 | 36 |
| 2 2 0 | 34.3 | 28 |
| 1 0 1 | 15.1 | 25 |
| 0 0 4 | 37.1 | 21 |
| 2 2 4 | 51.5 | 17 |
| 4 2 4 | 68.8 | 17 |
| 3 3 2 | 56.1 | 17 |
| 4 2 0 | 55.6 | 17 |
| 4 0 0 | 49.3 | 16 |

abc: 7.389 7.389 9.683
angles: 90.00 90.00 90.00
Space group I4/mmm (No. 139)
Inequivalent atoms, fractional coordinates:
Rb: 0.000 0.000 0.000 [2 per cell]
Rb: 0.000 0.500 0.250 [4 per cell]
Sm: 0.000 0.000 0.500 [2 per cell]
F: 0.000 0.000 0.265 [4 per cell]
F: 0.000 0.305 0.500 [8 per cell]



Structure and computed X-ray powder pattern of BaSi2O5 (a cell relaxed with GGA-PBE; Cu Kα (weighted mean of Kα1 and Kα2)).
Lines closer than 0.1° are merged.

The 12 most intense peaks (2θ = 10–90°), in order of falling intensity:
| (hkl) | 2θ (°) | I (rel.) |
| --- | --- | --- |
| 3 1 0 | 22.0 | 100 |
| 6 0 -2 | 24.8 | 48 |
| 2 0 4 | 28.1 | 30 |
| 1 1 -4 | 32.1 | 26 |
| 4 0 -4 | 28.5 | 26 |
| 9 1 -2 | 40.4 | 26 |
| 6 0 2 | 27.8 | 25 |
| 3 1 2 | 26.3 | 23 |
| 5 1 2 | 31.0 | 21 |
| 1 1 -3 | 27.0 | 17 |
| 5 1 4 | 39.5 | 17 |
| 9 1 2 | 43.3 | 15 |

abc: 23.516 4.731 13.822
angles: 90.00 97.36 90.00
Space group C2/c (No. 15)
Inequivalent atoms, fractional coordinates:
Ba: 0.000 0.000 0.000 [4 per cell]
Ba: 0.164 0.453 0.435 [8 per cell]
Si: 0.067 0.102 0.771 [8 per cell]
Si: 0.102 0.416 0.150 [8 per cell]
Si: 0.237 0.385 0.180 [8 per cell]
O: 0.000 0.217 0.750 [4 per cell]
O: 0.070 0.467 0.550 [8 per cell]
O: 0.071 0.121 0.180 [8 per cell]
O: 0.086 0.010 0.378 [8 per cell]
O: 0.106 0.379 0.748 [8 per cell]
O: 0.169 0.338 0.135 [8 per cell]
O: 0.229 0.004 0.906 [8 per cell]
O: 0.238 0.426 0.781 [8 per cell]



Structure and computed X-ray powder pattern of ZnCu2Au (a cell relaxed with GGA-PBE; Cu Kα (weighted mean of Kα1 and Kα2)).
Lines closer than 0.1° are merged.

The 12 most intense peaks (2θ = 10–90°), in order of falling intensity:
| (hkl) | 2θ (°) | I (rel.) |
| --- | --- | --- |
| 1 0 4 | 39.8 | 100 |
| 0 1 8 | 47.1 | 60 |
| 0 0 3 | 10.4 | 56 |
| 0 0 12 | 42.5 | 26 |
| 1 1 12 | 82.5 | 22 |
| 1 1 0 | 66.9 | 21 |
| 0 0 6 | 20.9 | 17 |
| 1 0 16 | 70.7 | 16 |
| 0 1 5 | 41.3 | 13 |
| 1 0 1 | 37.3 | 13 |
| 0 2 4 | 80.8 | 12 |
| 0 0 9 | 31.5 | 12 |

abc: 2.7969 2.7969 25.5389
angles: 90.00 90.00 120.00
Space group R3m (No. 160, hexagonal axes)
Inequivalent atoms, fractional coordinates:
Zn: 0.0000 0.0000 0.0000 [3 per cell]
Cu: 0.0000 0.0000 0.2548 [3 per cell]
Cu: 0.0000 0.0000 0.5119 [3 per cell]
Au: 0.0000 0.0000 0.7575 [3 per cell]



Structure and computed X-ray powder pattern of Nb4Pb3O13 (a cell relaxed with GGA-PBE; Cu Kα (weighted mean of Kα1 and Kα2)).
Lines closer than 0.1° are merged.

The 12 most intense peaks (2θ = 10–90°), in order of falling intensity:
| (hkl) | 2θ (°) | I (rel.) |
| --- | --- | --- |
| 2 0 2 | 28.8 | 100 |
| 0 2 4 | 33.4 | 49 |
| 0 0 6 | 29.0 | 33 |
| 2 2 6 | 57.0 | 30 |
| 2 0 8 | 48.2 | 29 |
| 2 2 0 | 47.9 | 29 |
| 0 0 3 | 14.4 | 23 |
| 0 2 1 | 27.5 | 18 |
| 0 1 2 | 16.5 | 17 |
| 0 4 2 | 56.8 | 15 |
| 0 2 10 | 57.2 | 15 |
| 2 0 5 | 36.6 | 13 |

abc: 7.6013 7.6013 18.4548
angles: 90.00 90.00 120.00
Space group R3m (No. 160, hexagonal axes)
Inequivalent atoms, fractional coordinates:
Nb: 0.0000 0.0000 0.0000 [3 per cell]
Nb: 0.0005 0.5002 0.4999 [9 per cell]
Pb: 0.1704 0.3407 0.3320 [9 per cell]
O: 0.0000 0.0000 0.6346 [3 per cell]
O: 0.0815 0.5408 0.6053 [9 per cell]
O: 0.0893 0.5447 0.8558 [9 per cell]
O: 0.2057 0.4115 0.7264 [9 per cell]
O: 0.2111 0.4222 0.4771 [9 per cell]